Computed PXRD pattern
Compound: Sm3Si2SnRh9
Radiation: copper Kα
Structure: a crystal structure in Alexandria, relaxed with GGA-PBE

Main lines, by angle (10° ≤ 2θ ≤ 90°):
| d/Å | two_theta | I_rel |
| --- | --- | --- |
| 3.384 | 26.34 | 15 |
| 3.116 | 28.65 | 13 |
| 2.723 | 32.90 | 97 |
| 2.453 | 36.64 | 26 |
| 2.292 | 39.30 | 100 |
| 1.692 | 54.21 | 35 |
| 1.558 | 59.31 | 30 |
| 1.437 | 64.88 | 10 |
| 1.393 | 67.22 | 20 |
| 1.361 | 68.98 | 16 |

Cell lengths 6.7682, 6.7682, 7.3583 Å; angles 90.00, 90.00, 120.00 degrees
Space group P-3m1 (No. 164)
Unique sites:
Sm  0.0000  0.0000  0.0000 [1 per cell]
Sm  0.3333  0.6667  0.6716 [2 per cell]
Si  0.3333  0.6667  0.1426 [2 per cell]
Sn  0.0000  0.0000  0.5000 [1 per cell]
Rh  0.0000  0.5000  0.0000 [3 per cell]
Rh  0.1892  0.3783  0.3442 [6 per cell]

---

Computed PXRD pattern
Compound: SiSnRh4
Radiation: copper Kα
Structure: a crystal structure in Alexandria, relaxed with GGA-PBE

Main lines, by angle (10° ≤ 2θ ≤ 90°):
| d/Å | two_theta | I_rel |
| --- | --- | --- |
| 2.355 | 38.22 | 29 |
| 2.290 | 39.35 | 100 |
| 2.242 | 40.22 | 31 |
| 2.229 | 40.46 | 36 |
| 2.196 | 41.11 | 18 |
| 2.147 | 42.10 | 25 |
| 2.103 | 43.00 | 23 |
| 2.080 | 43.51 | 21 |
| 1.463 | 63.61 | 16 |
| 1.242 | 76.72 | 15 |

Cell lengths 7.1324, 2.9254, 17.1724 Å; angles 90.00, 90.00, 90.00 degrees
Space group Pnma (No. 62)
Unique sites:
Si  0.2472  0.2500  0.0452 [4 per cell]
Sn  0.2005  0.7500  0.3140 [4 per cell]
Rh  0.0146  0.2500  0.2068 [4 per cell]
Rh  0.0266  0.2500  0.9312 [4 per cell]
Rh  0.1079  0.2500  0.4453 [4 per cell]
Rh  0.1730  0.2500  0.6525 [4 per cell]

---

Computed PXRD pattern
Compound: Sr2Si4Rh3
Radiation: copper Kα
Structure: a crystal structure in Alexandria, relaxed with GGA-PBE

Main lines, by angle (10° ≤ 2θ ≤ 90°):
| d/Å | two_theta | I_rel |
| --- | --- | --- |
| 5.943 | 14.91 | 97 |
| 3.087 | 28.93 | 59 |
| 2.541 | 35.33 | 59 |
| 2.462 | 36.50 | 58 |
| 2.340 | 38.48 | 100 |
| 2.275 | 39.62 | 56 |
| 2.043 | 44.33 | 25 |
| 1.981 | 45.80 | 22 |
| 1.516 | 61.11 | 19 |
| 1.451 | 64.19 | 21 |

Cell lengths 5.6295, 10.1590, 11.8859 Å; angles 90.00, 90.00, 90.00 degrees
Space group Fmmm (No. 69)
Unique sites:
Sr  0.0000  0.0000  0.1372 [8 per cell]
Si  0.0000  0.1900  0.3457 [16 per cell]
Rh  0.0000  0.0000  0.5000 [4 per cell]
Rh  0.2500  0.2500  0.0000 [8 per cell]

---

Computed PXRD pattern
Compound: Sr3Si5Rh6
Radiation: copper Kα
Structure: a crystal structure in Alexandria, relaxed with GGA-PBE

Main lines, by angle (10° ≤ 2θ ≤ 90°):
| d/Å | two_theta | I_rel |
| --- | --- | --- |
| 5.129 | 17.29 | 27 |
| 2.821 | 31.72 | 17 |
| 2.796 | 32.01 | 20 |
| 2.664 | 33.64 | 29 |
| 2.594 | 34.57 | 33 |
| 2.528 | 35.51 | 100 |
| 2.125 | 42.55 | 22 |
| 1.992 | 45.55 | 31 |
| 1.923 | 47.27 | 14 |
| 1.474 | 63.09 | 23 |

Cell lengths 3.9831, 12.7478, 10.2576 Å; angles 90.00, 90.00, 90.00 degrees
Space group Pmmn (No. 59, origin choice 2)
Unique sites:
Sr  0.2500  0.1032  0.2480 [4 per cell]
Sr  0.2500  0.7500  0.2388 [2 per cell]
Si  0.2500  0.0713  0.6450 [4 per cell]
Si  0.2500  0.6201  0.9963 [4 per cell]
Si  0.2500  0.7500  0.5807 [2 per cell]
Rh  0.2500  0.0510  0.8986 [4 per cell]
Rh  0.2500  0.2500  0.0057 [2 per cell]
Rh  0.2500  0.2500  0.5335 [2 per cell]
Rh  0.2500  0.5799  0.4862 [4 per cell]

---

Computed PXRD pattern
Compound: Tb4SiRh3
Radiation: copper Kα
Structure: a crystal structure in Alexandria, relaxed with GGA-PBE

Main lines, by angle (10° ≤ 2θ ≤ 90°):
| d/Å | two_theta | I_rel |
| --- | --- | --- |
| 3.267 | 27.30 | 19 |
| 2.761 | 32.43 | 100 |
| 2.667 | 33.60 | 27 |
| 2.645 | 33.89 | 35 |
| 2.241 | 40.24 | 20 |
| 2.228 | 40.49 | 48 |
| 2.066 | 43.81 | 24 |
| 1.979 | 45.85 | 21 |
| 1.633 | 56.33 | 19 |
| 1.260 | 75.46 | 16 |

Cell lengths 3.9580, 4.1326, 10.6683 Å; angles 90.00, 90.00, 90.00 degrees
Space group Pmm2 (No. 25)
Unique sites:
Tb  0.0000  0.0000  0.0000 [1 per cell]
Tb  0.0000  0.5000  0.2793 [1 per cell]
Tb  0.5000  0.0000  0.4935 [1 per cell]
Tb  0.5000  0.5000  0.7824 [1 per cell]
Si  0.0000  0.0000  0.7078 [1 per cell]
Rh  0.0000  0.5000  0.5695 [1 per cell]
Rh  0.5000  0.0000  0.2249 [1 per cell]
Rh  0.5000  0.5000  0.0498 [1 per cell]

---

Computed PXRD pattern
Compound: Tb3Si2Rh
Radiation: copper Kα
Structure: a crystal structure in Alexandria, relaxed with GGA-PBE

Main lines, by angle (10° ≤ 2θ ≤ 90°):
| d/Å | two_theta | I_rel |
| --- | --- | --- |
| 3.252 | 27.42 | 66 |
| 3.184 | 28.02 | 39 |
| 2.907 | 30.76 | 52 |
| 2.808 | 31.87 | 36 |
| 2.793 | 32.05 | 100 |
| 2.729 | 32.82 | 41 |
| 2.536 | 35.39 | 82 |
| 2.333 | 38.59 | 40 |
| 2.165 | 41.73 | 29 |
| 2.096 | 43.16 | 78 |

Cell lengths 11.5982, 4.1932, 11.2323 Å; angles 90.00, 90.00, 90.00 degrees
Space group Pnma (No. 62)
Unique sites:
Tb  0.0552  0.2500  0.1255 [4 per cell]
Tb  0.1208  0.7500  0.5570 [4 per cell]
Tb  0.2172  0.2500  0.8011 [4 per cell]
Si  0.0171  0.7500  0.3130 [4 per cell]
Si  0.1924  0.7500  0.9990 [4 per cell]
Rh  0.1303  0.2500  0.3674 [4 per cell]

---

Copy entry 1 word for word.
Computed PXRD pattern
Compound: Sm3Si2SnRh9
Radiation: copper Kα
Structure: a crystal structure in Alexandria, relaxed with GGA-PBE

Main lines, by angle (10° ≤ 2θ ≤ 90°):
| d/Å | two_theta | I_rel |
| --- | --- | --- |
| 3.384 | 26.34 | 15 |
| 3.116 | 28.65 | 13 |
| 2.723 | 32.90 | 97 |
| 2.453 | 36.64 | 26 |
| 2.292 | 39.30 | 100 |
| 1.692 | 54.21 | 35 |
| 1.558 | 59.31 | 30 |
| 1.437 | 64.88 | 10 |
| 1.393 | 67.22 | 20 |
| 1.361 | 68.98 | 16 |

Cell lengths 6.7682, 6.7682, 7.3583 Å; angles 90.00, 90.00, 120.00 degrees
Space group P-3m1 (No. 164)
Unique sites:
Sm  0.0000  0.0000  0.0000 [1 per cell]
Sm  0.3333  0.6667  0.6716 [2 per cell]
Si  0.3333  0.6667  0.1426 [2 per cell]
Sn  0.0000  0.0000  0.5000 [1 per cell]
Rh  0.0000  0.5000  0.0000 [3 per cell]
Rh  0.1892  0.3783  0.3442 [6 per cell]

---

Question: Number 1 is which compound?
Answer: Sm3Si2SnRh9